Diffraction record for CePm3Sm3. The PXRD pattern is computed, not measured: it uses a DFT-relaxed cell (GGA-PBE, Alexandria) and Cu Ka.

Peak list (10 most intense, 10° ≤ 2θ ≤ 80°, low angle first)
2θ/deg, Rel. int., index
24.4, 10, 1 3 0
27.0, 14, 1 1 2
30.5, 29, 4 0 0
31.0, 25, 0 4 0
32.7, 15, 3 3 0
33.0, 100, 2 2 2
44.1, 15, 4 4 0
47.4, 9, 1 5 2
55.9, 17, 6 2 2
56.5, 14, 2 6 2

Structure:
```
data_CePm3Sm3
_space_group_name_H-M_alt 'C 1 2/m 1'
_space_group_IT_number 12
_space_group_name_Hall '-C 2y'
_cell_length_a 11.713
_cell_length_b 11.533
_cell_length_c 7.222
_cell_angle_alpha 90.00
_cell_angle_beta 90.01
_cell_angle_gamma 90.00
loop_
_atom_site_label
_atom_site_type_symbol
_atom_site_fract_x
_atom_site_fract_y
_atom_site_fract_z
Ce1 Ce 0.212 0.000 0.001
Pm1 Pm 0.000 0.500 0.248
Pm2 Pm 0.250 0.249 0.755
Sm1 Sm 0.000 0.210 0.000
Sm2 Sm 0.000 0.210 0.500
Sm3 Sm 0.219 0.000 0.499
```

Diffraction record for TbCePmSm2. The PXRD pattern is computed, not measured: it uses a DFT-relaxed cell (GGA-PBE, Alexandria) and Cu Ka.

Peak list (10 most intense, 10° ≤ 2θ ≤ 80°, low angle first)
2θ/deg, Rel. int., index
28.0, 29, 0 1 2
29.7, 100, 1 2 1
29.8, 24, 2 0 0
31.8, 52, 1 1 2
32.5, 16, 2 0 1
34.4, 31, 2 1 1
38.9, 19, 0 0 3
47.3, 24, 2 3 1
52.8, 23, 3 2 1
55.1, 30, 1 0 4

Structure:
```
data_TbCePmSm2
_space_group_name_H-M_alt 'P m m a'
_space_group_IT_number 51
_space_group_name_Hall '-P 2a 2a'
_cell_length_a 5.991
_cell_length_b 8.059
_cell_length_c 6.949
_cell_angle_alpha 90.00
_cell_angle_beta 90.00
_cell_angle_gamma 90.00
loop_
_atom_site_label
_atom_site_type_symbol
_atom_site_fract_x
_atom_site_fract_y
_atom_site_fract_z
Tb1 Tb 0.250 0.000 0.093
Ce1 Ce 0.000 0.000 0.500
Pm1 Pm 0.250 0.500 0.337
Sm1 Sm 0.250 0.296 0.809
```

Diffraction record for Tb6CePmSm2. The PXRD pattern is computed, not measured: it uses a DFT-relaxed cell (GGA-PBE, Alexandria) and Cu Ka.

Peak list (10 most intense, 10° ≤ 2θ ≤ 80°, low angle first)
2θ/deg, Rel. int., index
27.7, 32, 1 1 2
30.0, 27, 2 0 2
30.1, 27, 3 1 -2
31.1, 63, 0 0 3
31.3, 100, 2 2 -1
32.2, 29, 3 1 1
32.6, 36, 1 1 -3
33.2, 28, 4 0 -2
33.7, 33, 0 2 2
34.4, 24, 2 2 1

Structure:
```
data_Tb6CePmSm2
_space_group_name_H-M_alt 'C 1 2/m 1'
_space_group_IT_number 12
_space_group_name_Hall '-C 2y'
_cell_length_a 11.441
_cell_length_b 6.747
_cell_length_c 9.029
_cell_angle_alpha 90.00
_cell_angle_beta 107.22
_cell_angle_gamma 90.00
loop_
_atom_site_label
_atom_site_type_symbol
_atom_site_fract_x
_atom_site_fract_y
_atom_site_fract_z
Tb1 Tb 0.129 0.000 0.417
Tb2 Tb 0.174 0.259 0.804
Ce1 Ce 0.000 0.000 0.000
Pm1 Pm 0.000 0.500 0.500
Sm1 Sm 0.088 0.500 0.169
```

Diffraction record for CePm3Sm3Te8. The PXRD pattern is computed, not measured: it uses a DFT-relaxed cell (GGA-PBE, Alexandria) and Cu Ka.

Peak list (10 most intense, 10° ≤ 2θ ≤ 80°, low angle first)
2θ/deg, Rel. int., index
28.4, 100, 4 0 0
40.5, 38, 4 0 -4
40.7, 38, 6 2 -2
50.2, 7, 0 0 4
50.3, 20, 8 0 -4
58.8, 13, 8 0 0
66.5, 17, 6 2 -6
66.6, 17, 10 2 -2
73.7, 6, 4 0 4
73.9, 19, 12 0 -4

Structure:
```
data_CePm3Sm3Te8
_space_group_name_H-M_alt 'C 1 2/m 1'
_space_group_IT_number 12
_space_group_name_Hall '-C 2y'
_cell_length_a 15.376
_cell_length_b 8.878
_cell_length_c 8.900
_cell_angle_alpha 90.00
_cell_angle_beta 125.16
_cell_angle_gamma 90.00
loop_
_atom_site_label
_atom_site_type_symbol
_atom_site_fract_x
_atom_site_fract_y
_atom_site_fract_z
Ce1 Ce 0.000 0.000 0.000
Pm1 Pm 0.000 0.000 0.500
Pm2 Pm 0.250 0.250 0.000
Sm1 Sm 0.000 0.500 0.000
Sm2 Sm 0.250 0.250 0.500
Te1 Te 0.001 0.258 0.258
Te2 Te 0.242 0.500 0.741
Te3 Te 0.249 0.500 0.251
```

Diffraction record for CePmSm2Tl4. The PXRD pattern is computed, not measured: it uses a DFT-relaxed cell (GGA-PBE, Alexandria) and Cu Ka.

Peak list (8 most intense, 10° ≤ 2θ ≤ 80°, low angle first)
2θ/deg, Rel. int., index
22.9, 3, 1 0 4
32.6, 100, 1 1 0
40.3, 1, 0 2 4
46.8, 19, 2 0 8
52.8, 1, 2 1 4
58.2, 39, 3 0 0
68.4, 12, 2 2 0
77.8, 17, 3 1 8

Structure:
```
data_CePmSm2Tl4
_space_group_name_H-M_alt 'R -3 m'
_space_group_IT_number 166
_space_group_name_Hall '-R 3 2"'
_cell_length_a 5.4843
_cell_length_b 5.4843
_cell_length_c 26.9139
_cell_angle_alpha 90.00
_cell_angle_beta 90.00
_cell_angle_gamma 120.00
loop_
_atom_site_label
_atom_site_type_symbol
_atom_site_fract_x
_atom_site_fract_y
_atom_site_fract_z
Ce1 Ce 0.0000 0.0000 0.0000
Pm1 Pm 0.0000 0.0000 0.5000
Sm1 Sm 0.0000 0.0000 0.2497
Tl1 Tl 0.0000 0.0000 0.1252
Tl2 Tl 0.0000 0.0000 0.3752
```

Diffraction record for CePm6SmTm2. The PXRD pattern is computed, not measured: it uses a DFT-relaxed cell (GGA-PBE, Alexandria) and Cu Ka.

Peak list (10 most intense, 10° ≤ 2θ ≤ 80°, low angle first)
2θ/deg, Rel. int., index
27.1, 29, 1 1 2
30.4, 36, 2 2 0
30.9, 100, 2 2 -1
31.0, 23, 0 0 3
31.4, 33, 3 1 1
32.9, 32, 1 1 -3
33.1, 32, 0 2 2
33.4, 26, 2 2 1
34.4, 25, 4 0 -2
55.8, 25, 2 2 4

Structure:
```
data_CePm6SmTm2
_space_group_name_H-M_alt 'C 1 2/m 1'
_space_group_IT_number 12
_space_group_name_Hall '-C 2y'
_cell_length_a 11.309
_cell_length_b 6.949
_cell_length_c 8.886
_cell_angle_alpha 90.00
_cell_angle_beta 103.36
_cell_angle_gamma 90.00
loop_
_atom_site_label
_atom_site_type_symbol
_atom_site_fract_x
_atom_site_fract_y
_atom_site_fract_z
Ce1 Ce 0.000 0.000 0.000
Pm1 Pm 0.130 0.000 0.418
Pm2 Pm 0.170 0.265 0.801
Sm1 Sm 0.000 0.500 0.500
Tm1 Tm 0.091 0.500 0.161
```

Diffraction record for CePm4Sn15. The PXRD pattern is computed, not measured: it uses a DFT-relaxed cell (GGA-PBE, Alexandria) and Cu Ka.

Peak list (9 most intense, 10° ≤ 2θ ≤ 80°, low angle first)
2θ/deg, Rel. int., index
32.6, 100, 1 1 5
37.4, 17, 0 0 10
38.1, 33, 2 0 0
54.4, 24, 2 0 10
54.9, 12, 2 2 0
64.4, 14, 1 1 15
65.4, 28, 3 1 5
68.3, 12, 2 2 10
79.7, 2, 0 0 20

Structure:
```
data_CePm4Sn15
_space_group_name_H-M_alt 'P 4/m m m'
_space_group_IT_number 123
_space_group_name_Hall '-P 4 2'
_cell_length_a 4.728
_cell_length_b 4.728
_cell_length_c 24.052
_cell_angle_alpha 90.00
_cell_angle_beta 90.00
_cell_angle_gamma 90.00
loop_
_atom_site_label
_atom_site_type_symbol
_atom_site_fract_x
_atom_site_fract_y
_atom_site_fract_z
Ce1 Ce 0.000 0.000 0.000
Pm1 Pm 0.000 0.000 0.197
Pm2 Pm 0.000 0.000 0.400
Sn1 Sn 0.000 0.500 0.098
Sn2 Sn 0.000 0.500 0.299
Sn3 Sn 0.000 0.500 0.500
Sn4 Sn 0.500 0.500 0.000
Sn5 Sn 0.500 0.500 0.199
Sn6 Sn 0.500 0.500 0.399
```

Diffraction record for Ce2Pm3Sn3. The PXRD pattern is computed, not measured: it uses a DFT-relaxed cell (GGA-PBE, Alexandria) and Cu Ka.

Peak list (10 most intense, 10° ≤ 2θ ≤ 80°, low angle first)
2θ/deg, Rel. int., index
27.6, 18, 0 0 2
29.1, 30, 2 1 0
29.8, 16, 1 0 2
32.3, 100, 2 1 1
33.1, 57, 3 0 0
33.7, 83, 1 1 2
48.0, 22, 2 2 2
51.1, 16, 3 2 1
51.9, 27, 2 1 3
67.6, 16, 3 0 4

Structure:
```
data_Ce2Pm3Sn3
_space_group_name_H-M_alt 'P 63/m c m'
_space_group_IT_number 193
_space_group_name_Hall '-P 6c 2'
_cell_length_a 9.3685
_cell_length_b 9.3685
_cell_length_c 6.4524
_cell_angle_alpha 90.00
_cell_angle_beta 90.00
_cell_angle_gamma 120.00
loop_
_atom_site_label
_atom_site_type_symbol
_atom_site_fract_x
_atom_site_fract_y
_atom_site_fract_z
Ce1 Ce 0.3333 0.6667 0.0000
Pm1 Pm 0.0000 0.2511 0.2500
Sn1 Sn 0.0000 0.3873 0.7500
```